Record 1
For Ba5Cd19, a PBE-relaxed structure gives the simulated powder diffraction line list in this record (copper Kα).

Cell and atoms:
abc: 6.1827 6.1827 39.3649
angles: 90.00 90.00 120.00
Space group P6_3/mmc (No. 194)
Symmetry-distinct sites (fractional):
Ba 0.3333 0.6667 0.0169 (multiplicity 4)
Ba 0.3333 0.6667 0.1279 (multiplicity 4)
Ba 0.3333 0.6667 0.2500 (multiplicity 2)
Cd 0.0000 0.0000 0.0000 (multiplicity 2)
Cd 0.0000 0.0000 0.1262 (multiplicity 4)
Cd 0.0000 0.0000 0.2500 (multiplicity 2)
Cd 0.1661 0.3321 0.6884 (multiplicity 12)
Cd 0.1679 0.3359 0.5646 (multiplicity 12)
Cd 0.3333 0.6667 0.6274 (multiplicity 4)
Cd 0.3333 0.6667 0.7500 (multiplicity 2)

Principal peaks in the range 10 to 90 degrees two-theta, in order of falling intensity:
| hkl | 2θ/deg | I (rel.) |
| --- | --- | --- |
| 1 1 8 | 34.25 | 100 |
| 2 0 1 | 33.53 | 30 |
| 0 0 16 | 36.52 | 25 |
| 3 0 8 | 54.71 | 24 |
| 1 1 0 | 28.88 | 23 |
| 2 2 0 | 59.84 | 22 |
| 2 2 16 | 72.17 | 19 |
| 2 0 7 | 37.20 | 16 |
| 1 0 9 | 26.31 | 15 |
| 2 0 8 | 38.25 | 14 |

---

Record 2
For BaCdCl4, a PBE-relaxed structure gives the simulated powder diffraction line list in this record (copper Kα).

Cell and atoms:
abc: 7.6497 10.1122 9.6038
angles: 90.00 90.00 90.00
Space group Pnna (No. 52)
Symmetry-distinct sites (fractional):
Ba 0.1843 0.2500 0.2500 (multiplicity 4)
Cd 0.2500 0.0000 0.6801 (multiplicity 4)
Cl 0.0246 0.5355 0.3138 (multiplicity 8)
Cl 0.1478 0.6982 0.9523 (multiplicity 8)

Principal peaks in the range 10 to 90 degrees two-theta, in order of falling intensity:
| hkl | 2θ/deg | I (rel.) |
| --- | --- | --- |
| 1 2 1 | 23.03 | 100 |
| 0 0 2 | 18.48 | 40 |
| 0 4 2 | 40.33 | 31 |
| 1 2 3 | 35.19 | 27 |
| 1 1 2 | 23.58 | 27 |
| 2 1 2 | 31.18 | 25 |
| 0 4 0 | 35.51 | 22 |
| 2 1 3 | 37.71 | 19 |
| 3 2 1 | 40.73 | 18 |
| 3 1 1 | 37.56 | 17 |

---

Record 3
For BaCdCoS3, a PBE-relaxed structure gives the simulated powder diffraction line list in this record (copper Kα).

Cell and atoms:
abc: 4.0209 13.4494 10.2350
angles: 90.00 90.00 90.00
Space group Cmcm (No. 63)
Symmetry-distinct sites (fractional):
Ba 0.0000 0.2422 0.2500 (multiplicity 4)
Cd 0.0000 0.5000 0.0000 (multiplicity 4)
Co 0.0000 0.0329 0.7500 (multiplicity 4)
S 0.0000 0.1313 0.5679 (multiplicity 8)
S 0.0000 0.4405 0.7500 (multiplicity 4)

Principal peaks in the range 10 to 90 degrees two-theta, in order of falling intensity:
| hkl | 2θ/deg | I (rel.) |
| --- | --- | --- |
| 1 3 1 | 31.13 | 100 |
| 0 0 4 | 35.10 | 81 |
| 0 2 2 | 21.82 | 67 |
| 1 3 2 | 34.72 | 45 |
| 0 4 0 | 26.51 | 40 |
| 1 1 2 | 29.01 | 38 |
| 1 5 2 | 44.21 | 36 |
| 0 4 4 | 44.49 | 35 |
| 2 0 0 | 45.10 | 31 |
| 1 1 1 | 24.69 | 28 |

---

Record 4
For BaDyCdP2, a PBE-relaxed structure gives the simulated powder diffraction line list in this record (copper Kα).

Cell and atoms:
abc: 4.2099 17.8684 6.9116
angles: 90.00 90.00 90.00
Space group Cmc2_1 (No. 36)
Symmetry-distinct sites (fractional):
Ba 0.0000 0.1967 0.0000 (multiplicity 4)
Dy 0.0000 0.0285 0.3065 (multiplicity 4)
Cd 0.0000 0.3954 0.1399 (multiplicity 4)
P 0.0000 0.1661 0.4870 (multiplicity 4)
P 0.0000 0.4548 0.5154 (multiplicity 4)

Principal peaks in the range 10 to 90 degrees two-theta, in order of falling intensity:
| hkl | 2θ/deg | I (rel.) |
| --- | --- | --- |
| 1 5 0 | 32.87 | 100 |
| 1 3 2 | 36.88 | 89 |
| 0 6 1 | 32.75 | 76 |
| 1 1 1 | 25.27 | 68 |
| 1 1 2 | 33.93 | 66 |
| 1 3 1 | 29.01 | 60 |
| 0 2 2 | 27.68 | 60 |
| 0 4 1 | 23.72 | 43 |
| 2 0 0 | 42.97 | 41 |
| 2 6 1 | 55.06 | 34 |

---

Record 5
For BaCdF4, a PBE-relaxed structure gives the simulated powder diffraction line list in this record (copper Kα).

Cell and atoms:
abc: 4.2485 4.2485 10.2005
angles: 90.00 90.00 90.00
Space group P4/nmm (No. 129, origin choice 2)
Symmetry-distinct sites (fractional):
Ba 0.2500 0.2500 0.1458 (multiplicity 2)
Cd 0.2500 0.2500 0.5938 (multiplicity 2)
F 0.2500 0.2500 0.8108 (multiplicity 2)
F 0.2500 0.7500 0.0000 (multiplicity 2)
F 0.2500 0.7500 0.3716 (multiplicity 4)

Principal peaks in the range 10 to 90 degrees two-theta, in order of falling intensity:
| hkl | 2θ/deg | I (rel.) |
| --- | --- | --- |
| 1 0 2 | 27.32 | 100 |
| 1 1 0 | 29.74 | 35 |
| 2 1 2 | 51.31 | 35 |
| 2 0 0 | 42.56 | 32 |
| 1 1 3 | 40.05 | 20 |
| 1 1 4 | 46.72 | 15 |
| 0 0 4 | 35.19 | 12 |
| 2 0 4 | 56.37 | 12 |
| 2 2 0 | 61.76 | 10 |
| 1 0 5 | 49.57 | 9 |

---

Record 6
For Ba2Cd2Se2OF2, a PBE-relaxed structure gives the simulated powder diffraction line list in this record (copper Kα).

Cell and atoms:
abc: 4.4859 4.4859 18.7409
angles: 90.00 90.00 90.00
Space group I4/mmm (No. 139)
Symmetry-distinct sites (fractional):
Ba 0.0000 0.0000 0.1732 (multiplicity 4)
Cd 0.0000 0.5000 0.0000 (multiplicity 4)
Se 0.0000 0.0000 0.3988 (multiplicity 4)
O 0.0000 0.0000 0.0000 (multiplicity 2)
F 0.0000 0.5000 0.2500 (multiplicity 4)

Principal peaks in the range 10 to 90 degrees two-theta, in order of falling intensity:
| hkl | 2θ/deg | I (rel.) |
| --- | --- | --- |
| 1 1 4 | 34.14 | 100 |
| 1 0 5 | 31.09 | 70 |
| 2 0 0 | 40.21 | 69 |
| 1 1 2 | 29.74 | 48 |
| 1 0 3 | 24.43 | 38 |
| 2 1 5 | 51.68 | 32 |
| 1 1 8 | 48.30 | 25 |
| 3 1 4 | 69.20 | 24 |
| 2 2 0 | 58.17 | 22 |
| 1 0 9 | 48.18 | 22 |

---

Record 7
For BaSrCd2Se2OF2, a PBE-relaxed structure gives the simulated powder diffraction line list in this record (copper Kα).

Cell and atoms:
abc: 4.4512 4.4512 18.2027
angles: 90.00 90.00 90.00
Space group I4mm (No. 107)
Symmetry-distinct sites (fractional):
Ba 0.0000 0.0000 0.0000 (multiplicity 2)
Sr 0.0000 0.0000 0.3524 (multiplicity 2)
Cd 0.0000 0.5000 0.1785 (multiplicity 4)
Se 0.0000 0.0000 0.5716 (multiplicity 2)
Se 0.0000 0.0000 0.7815 (multiplicity 2)
O 0.0000 0.0000 0.1782 (multiplicity 2)
F 0.0000 0.5000 0.4187 (multiplicity 4)

Principal peaks in the range 10 to 90 degrees two-theta, in order of falling intensity:
| hkl | 2θ/deg | I (rel.) |
| --- | --- | --- |
| 1 1 4 | 34.65 | 100 |
| 1 0 5 | 31.75 | 70 |
| 2 0 0 | 40.53 | 69 |
| 1 1 2 | 30.04 | 51 |
| 1 1 8 | 49.46 | 39 |
| 2 1 5 | 52.39 | 33 |
| 3 1 4 | 69.96 | 24 |
| 2 2 0 | 58.66 | 22 |
| 1 0 3 | 24.81 | 21 |
| 0 0 6 | 29.44 | 17 |